The following is a simulated powder XRD pattern of Ce3CI5. It was derived from the PBE geometry in Alexandria, using copper Kα.
Intensities are scaled so that the largest is 100.

Cell and atoms:
Cell: 7.8786 9.7430 9.7986 Å, 106.93 96.19 103.96°
Space group P-1 (No. 2)
Unique sites:
1 Ce 0.0378 0.2393 0.4257 x2
2 Ce 0.1109 0.5417 0.2787 x2
3 Ce 0.3782 0.6280 0.6751 x2
4 C 0.0884 0.5296 0.5410 x2
5 I 0.0896 0.8749 0.3186 x2
6 I 0.1991 0.2326 0.1396 x2
7 I 0.2525 0.5827 0.9604 x2
8 I 0.3388 0.9495 0.7721 x2
9 I 0.4556 0.3023 0.5958 x2

The 6 most intense peaks (10 to 90 degrees two-theta), most intense first:
h k l, 2θ (°), I_rel
1 -3 0, 28.89, 100
2 0 1, 27.34, 67
1 -1 4, 40.40, 38
1 3 1, 40.09, 20
3 1 -2, 39.91, 18
0 4 -3, 41.47, 16